Structure and simulated powder X-ray diffraction pattern of Tm6AlIr (a crystal structure in Alexandria, relaxed with PBE; a wavelength of 1.5418 Å).
Neutral-atom scattering factors, no anomalous dispersion.

```
Tm6AlIr
1.0
3.3746 -5.6579 0.0000
3.3746 5.6579 0.0000
-2.7547 0.0000 5.9981
Tm Al Ir
6 1 1
Cartesian
0.8651 2.1809 1.4799 Tm
-0.5185 0.0000 4.5795 Tm
0.8651 -2.1809 1.4799 Tm
3.1294 2.1809 4.5182 Tm
4.5130 0.0000 1.4186 Tm
3.1294 -2.1809 4.5182 Tm
1.9973 0.0000 2.9991 Al
0.0000 0.0000 0.0000 Ir
```

Principal peaks in the range 2θ from 10° to 90°, by intensity:
34.4 deg, I = 100; 31.9 deg, I = 67; 28.5 deg, I = 62; 48.1 deg, I = 38; 47.2 deg, I = 38; 29.8 deg, I = 35; 29.1 deg, I = 35; 16.4 deg, I = 23; 31.6 deg, I = 20; 50.7 deg, I = 20